# BeNi12B6
Simulated powder XRD pattern, CuKα. Input: a cell relaxed with PBE.
Neutral-atom scattering factors, no anomalous dispersion.

Principal peaks in the range 2θ from 10° to 90°, low angle first:
hkl, Position (°2θ), I (rel.)
2 2 0, 36.25, 37
3 1 0, 40.70, 95
2 2 2, 44.79, 51
3 2 1, 48.60, 100
4 0 0, 52.20, 15
3 3 0, 55.63, 13
4 0 2, 58.92, 16
5 0 3, 79.78, 47
6 0 0, 82.58, 10
5 3 2, 85.37, 34

Cell and atoms:
Lattice parameters (Å, degrees): 7.0095 7.0095 7.0095 90.00 90.00 90.00
Space group Im-3 (No. 204)
One atom of each set of equivalent atoms:
Be: 0.0000 0.0000 0.0000 [2 per cell]
Ni: 0.0000 0.1824 0.2971 [24 per cell]
B: 0.0000 0.3770 0.5000 [12 per cell]